Starting from DFT lattice parameters and positions (PBE), the PXRD pattern of Dy7In2Pd2 was simulated for a wavelength of 1.5418 Å.

The 8 most intense peaks (2θ = 5–70°), low angle first:
25.19°, intensity 39, hkl 2 0 1
27.13°, intensity 58, hkl 2 2 0
28.64°, intensity 45, hkl 1 1 2
32.26°, intensity 63, hkl 0 4 0
36.82°, intensity 45, hkl 1 3 2
37.33°, intensity 100, hkl 2 2 2
44.41°, intensity 24, hkl 4 0 0
51.66°, intensity 26, hkl 0 0 4

Structural model:
Cell: 8.1576 11.1013 7.0807 Å, 90.00 90.00 90.00°
Space group Cmmm (No. 65)
Symmetry-distinct sites (fractional):
Dy1 0.0000 0.0000 0.0000 x2
Dy2 0.0000 0.5000 0.2484 x4
Dy3 0.2500 0.2500 0.2552 x8
In1 0.1745 0.0000 0.5000 x4
Pd1 0.0000 0.2906 0.0000 x4